This entry pairs a crystal structure of Pm4P3H4 with its theoretical powder XRD pattern. Radiation: copper Kα. Structure: DFT lattice parameters and positions (PBE).
Intensities are scaled so that the largest is 1000.

Largest 10 diffraction maxima, in order of rising 2θ, 2θ from 10° to 90°:
2theta	I (rel.)
24.96	354
30.70	1000
35.59	417
39.96	205
47.70	175
54.57	559
60.90	166
66.87	113
78.11	159
83.53	173

Structure:
```
data_Pm4P3H4
_symmetry_space_group_name_H-M 'P 1'
_symmetry_Int_Tables_number 1
_cell_length_a 6.1787
_cell_length_b 6.1787
_cell_length_c 6.1787
_cell_angle_alpha 109.47
_cell_angle_beta 109.47
_cell_angle_gamma 109.47
loop_
_symmetry_equiv_pos_as_xyz
'x,y,z'
loop_
_atom_site_label
_atom_site_type_symbol
_atom_site_fract_x
_atom_site_fract_y
_atom_site_fract_z
_atom_site_occupancy
Pm1 Pm 0.0000 0.0000 0.6214 1
Pm2 Pm 0.0000 0.6214 0.0000 1
Pm3 Pm 0.3786 0.3786 0.3786 1
Pm4 Pm 0.6214 0.0000 0.0000 1
P1 P 0.0000 0.5000 0.5000 1
P2 P 0.5000 0.0000 0.5000 1
P3 P 0.5000 0.5000 0.0000 1
H1 H 0.0000 0.0000 0.2410 1
H2 H 0.0000 0.2410 0.0000 1
H3 H 0.2410 0.0000 0.0000 1
H4 H 0.7590 0.7590 0.7590 1
```

***

This entry pairs a crystal structure of SnSeF with its theoretical powder XRD pattern. Radiation: copper Kα. Structure: DFT lattice parameters and positions (PBE).
Intensities are scaled so that the largest is 1000.

Largest 10 diffraction maxima, in order of rising 2θ, 2θ from 10° to 90°:
2theta	I (rel.)
13.70	968
23.77	351
30.88	1000
32.61	618
35.03	304
41.90	322
45.52	692
46.45	228
54.08	306
57.90	258

Structure:
```
data_SnSeF
_symmetry_space_group_name_H-M 'P 1'
_symmetry_Int_Tables_number 1
_cell_length_a 5.4919
_cell_length_b 12.9292
_cell_length_c 3.9099
_cell_angle_alpha 90.00
_cell_angle_beta 90.00
_cell_angle_gamma 90.00
loop_
_symmetry_equiv_pos_as_xyz
'x,y,z'
loop_
_atom_site_label
_atom_site_type_symbol
_atom_site_fract_x
_atom_site_fract_y
_atom_site_fract_z
_atom_site_occupancy
Sn1 Sn 0.2466 0.1844 0.0000 1
Sn2 Sn 0.2534 0.6844 0.5000 1
Sn3 Sn 0.7466 0.3156 0.5000 1
Sn4 Sn 0.7534 0.8156 0.0000 1
Se1 Se 0.2466 0.3511 0.5000 1
Se2 Se 0.2534 0.8511 0.0000 1
Se3 Se 0.7466 0.1489 0.0000 1
Se4 Se 0.7534 0.6489 0.5000 1
F1 F 0.2466 0.0963 0.5000 1
F2 F 0.2534 0.5963 0.0000 1
F3 F 0.7466 0.4037 0.0000 1
F4 F 0.7534 0.9037 0.5000 1
```